For LaPrDy2, a DFT-relaxed cell (GGA-PBE, Alexandria) gives the theoretical powder X-ray diffraction pattern in this record (a wavelength of 1.5418 Å).

Most intense lines, 2θ = 10–90°, in order of rising 2θ:
d/Å, 2θ/deg, intensity
5.383, 16.5, 17.2
3.871, 23.0, 18.5
2.889, 31.0, 100.0
2.817, 31.8, 49.3
2.786, 32.1, 51.0
2.652, 33.8, 79.6
1.981, 45.8, 35.9
1.691, 54.2, 25.4
1.627, 56.6, 23.3
1.582, 58.3, 19.8

Structural model:
```
LaPrDy2
1.0
6.162 0.000 0.000
0.000 5.571 0.000
-1.218 0.000 8.877
La Pr Dy
2 2 4
Direct
0.000 0.000 0.000 La
0.500 0.500 0.500 La
0.103 0.500 0.711 Pr
0.897 0.500 0.289 Pr
0.242 0.000 0.394 Dy
0.342 0.500 0.128 Dy
0.658 0.500 0.872 Dy
0.758 0.000 0.606 Dy
```

---

For La8Pr3Dy2, a DFT-relaxed cell (GGA-PBE, Alexandria) gives the theoretical powder X-ray diffraction pattern in this record (a wavelength of 1.5418 Å).

Most intense lines, 2θ = 10–90°, in order of rising 2θ:
d/Å, 2θ/deg, intensity
3.610, 24.7, 16.2
3.092, 28.9, 27.9
2.996, 29.8, 88.4
2.919, 30.6, 100.0
2.813, 31.8, 28.1
2.773, 32.3, 19.7
2.447, 36.7, 20.6
2.344, 38.4, 16.5
1.714, 53.5, 20.4
1.498, 61.9, 15.0

Structural model:
```
La8Pr3Dy2
1.0
6.777 -5.991 0.000
6.777 5.991 0.000
-2.423 0.000 5.791
La Pr Dy
8 3 2
Direct
0.052 0.052 0.294 La
0.064 0.584 0.825 La
0.355 0.355 0.445 La
0.416 0.936 0.175 La
0.584 0.064 0.825 La
0.645 0.645 0.555 La
0.936 0.416 0.175 La
0.948 0.948 0.706 La
0.254 0.746 0.500 Pr
0.500 0.500 0.000 Pr
0.746 0.254 0.500 Pr
0.212 0.212 0.838 Dy
0.788 0.788 0.162 Dy
```

---

For La3Pr4Dy3, a DFT-relaxed cell (GGA-PBE, Alexandria) gives the theoretical powder X-ray diffraction pattern in this record (a wavelength of 1.5418 Å).

Most intense lines, 2θ = 10–90°, in order of rising 2θ:
d/Å, 2θ/deg, intensity
3.049, 29.3, 28.9
3.037, 29.4, 28.9
3.016, 29.6, 24.6
2.878, 31.1, 100.0
1.936, 46.9, 11.2
1.697, 54.0, 9.9
1.633, 56.3, 18.5
1.625, 56.6, 9.4
1.619, 56.9, 9.0
1.236, 77.2, 12.5

Structural model:
```
La3Pr4Dy3
1.0
3.871 0.000 0.000
0.000 6.827 6.783
0.000 -6.827 6.783
La Pr Dy
3 4 3
Direct
0.000 0.000 0.000 La
0.500 0.173 0.663 La
0.500 0.663 0.173 La
0.500 0.042 0.302 Pr
0.500 0.302 0.042 Pr
0.500 0.541 0.541 Pr
0.500 0.796 0.796 Pr
0.000 0.339 0.339 Dy
0.000 0.499 0.837 Dy
0.000 0.837 0.499 Dy
```

---

For La4Pr4Dy, a DFT-relaxed cell (GGA-PBE, Alexandria) gives the theoretical powder X-ray diffraction pattern in this record (a wavelength of 1.5418 Å).

Most intense lines, 2θ = 10–90°, in order of rising 2θ:
d/Å, 2θ/deg, intensity
3.027, 29.5, 100.0
2.627, 34.1, 34.1
2.609, 34.4, 16.6
1.858, 49.0, 12.3
1.851, 49.2, 24.1
1.583, 58.3, 21.9
1.583, 58.3, 7.3
1.575, 58.6, 14.2
1.513, 61.3, 12.5
1.201, 79.8, 11.6

Structural model:
```
La4Pr4Dy
1.0
5.864 -2.627 0.000
5.864 2.627 0.000
-3.583 0.000 10.521
La Pr Dy
4 4 1
Direct
0.163 0.163 0.219 La
0.169 0.169 0.557 La
0.831 0.831 0.443 La
0.837 0.837 0.781 La
0.169 0.169 0.891 Pr
0.498 0.498 0.331 Pr
0.502 0.502 0.669 Pr
0.831 0.831 0.109 Pr
0.500 0.500 0.000 Dy
```

---

For La2Pr12Dy, a DFT-relaxed cell (GGA-PBE, Alexandria) gives the theoretical powder X-ray diffraction pattern in this record (a wavelength of 1.5418 Å).

Most intense lines, 2θ = 10–90°, in order of rising 2θ:
d/Å, 2θ/deg, intensity
4.442, 20.0, 49.1
3.239, 27.5, 89.3
3.118, 28.6, 58.0
2.969, 30.1, 78.8
2.916, 30.7, 100.0
2.902, 30.8, 96.2
2.858, 31.3, 68.5
2.714, 33.0, 56.0
2.367, 38.0, 66.3
1.701, 53.9, 50.2

Structural model:
```
La2Pr12Dy
1.0
6.694 0.000 0.000
0.000 6.694 0.000
0.000 0.000 25.720
La Pr Dy
4 24 2
Direct
0.250 0.750 0.236 La
0.250 0.750 0.764 La
0.750 0.250 0.236 La
0.750 0.250 0.764 La
0.062 0.562 0.388 Pr
0.062 0.938 0.612 Pr
0.082 0.582 0.938 Pr
0.082 0.918 0.062 Pr
0.250 0.250 0.163 Pr
0.250 0.250 0.287 Pr
0.250 0.250 0.713 Pr
0.250 0.250 0.837 Pr
0.418 0.582 0.062 Pr
0.418 0.918 0.938 Pr
0.438 0.562 0.612 Pr
0.438 0.938 0.388 Pr
0.562 0.062 0.612 Pr
0.562 0.438 0.388 Pr
0.582 0.082 0.062 Pr
0.582 0.418 0.938 Pr
0.750 0.750 0.163 Pr
0.750 0.750 0.287 Pr
0.750 0.750 0.713 Pr
0.750 0.750 0.837 Pr
0.918 0.082 0.938 Pr
0.918 0.418 0.062 Pr
0.938 0.062 0.388 Pr
0.938 0.438 0.612 Pr
0.250 0.750 0.500 Dy
0.750 0.250 0.500 Dy
```

---

For La2Pr12Dy5, a DFT-relaxed cell (GGA-PBE, Alexandria) gives the theoretical powder X-ray diffraction pattern in this record (a wavelength of 1.5418 Å).

Most intense lines, 2θ = 10–90°, in order of rising 2θ:
d/Å, 2θ/deg, intensity
3.238, 27.5, 38.9
3.061, 29.2, 33.4
3.025, 29.5, 58.9
2.933, 30.5, 100.0
2.919, 30.6, 48.1
2.901, 30.8, 89.9
2.795, 32.0, 75.1
2.588, 34.7, 39.4
1.608, 57.3, 31.3
1.589, 58.0, 35.0

Structural model:
```
La2Pr12Dy5
1.0
8.029 -4.735 0.000
8.029 4.735 0.000
-0.258 0.000 8.878
La Pr Dy
2 12 5
Direct
0.169 0.831 0.000 La
0.831 0.169 0.000 La
0.063 0.063 0.344 Pr
0.068 0.674 0.324 Pr
0.168 0.529 0.761 Pr
0.326 0.932 0.676 Pr
0.421 0.421 0.119 Pr
0.471 0.832 0.239 Pr
0.529 0.168 0.761 Pr
0.579 0.579 0.881 Pr
0.674 0.068 0.324 Pr
0.832 0.471 0.239 Pr
0.932 0.326 0.676 Pr
0.937 0.937 0.656 Pr
0.207 0.207 0.033 Dy
0.269 0.269 0.432 Dy
0.500 0.500 0.500 Dy
0.731 0.731 0.568 Dy
0.793 0.793 0.967 Dy
```

---

For La2Pr3Dy, a DFT-relaxed cell (GGA-PBE, Alexandria) gives the theoretical powder X-ray diffraction pattern in this record (a wavelength of 1.5418 Å).

Most intense lines, 2θ = 10–90°, in order of rising 2θ:
d/Å, 2θ/deg, intensity
3.265, 27.3, 45.6
3.032, 29.5, 100.0
2.853, 31.4, 33.8
2.724, 32.9, 47.2
2.488, 36.1, 61.5
2.026, 44.7, 14.8
1.789, 51.0, 14.9
1.753, 52.2, 25.9
1.526, 60.7, 23.3
1.496, 62.0, 15.1

Structural model:
```
La2Pr3Dy
1.0
8.742 -3.532 0.000
8.742 3.532 0.000
-1.464 0.000 7.009
La Pr Dy
4 6 2
Direct
0.159 0.185 0.090 La
0.185 0.159 0.590 La
0.815 0.841 0.410 La
0.841 0.815 0.910 La
0.233 0.767 0.250 Pr
0.348 0.368 0.433 Pr
0.368 0.348 0.933 Pr
0.632 0.652 0.067 Pr
0.652 0.632 0.567 Pr
0.767 0.233 0.750 Pr
0.240 0.760 0.750 Dy
0.760 0.240 0.250 Dy
```

---

For La4PrDy7, a DFT-relaxed cell (GGA-PBE, Alexandria) gives the theoretical powder X-ray diffraction pattern in this record (a wavelength of 1.5418 Å).

Most intense lines, 2θ = 10–90°, in order of rising 2θ:
d/Å, 2θ/deg, intensity
2.963, 30.2, 100.0
2.941, 30.4, 32.6
2.561, 35.0, 67.2
1.816, 50.2, 24.3
1.806, 50.5, 23.7
1.548, 59.7, 14.4
1.545, 59.9, 28.5
1.539, 60.1, 14.0
1.481, 62.7, 12.5
1.178, 81.7, 11.8

Structural model:
```
La4PrDy7
1.0
3.632 0.000 0.000
-1.816 3.145 0.000
0.000 0.000 35.295
La Pr Dy
4 1 7
Direct
0.333 0.667 0.167 La
0.333 0.667 0.416 La
0.667 0.333 0.584 La
0.667 0.333 0.833 La
0.000 0.000 0.000 Pr
0.000 0.000 0.251 Dy
0.000 0.000 0.500 Dy
0.000 0.000 0.749 Dy
0.333 0.667 0.668 Dy
0.333 0.667 0.917 Dy
0.667 0.333 0.083 Dy
0.667 0.333 0.332 Dy
```

---

For La3Pr5Dy4, a DFT-relaxed cell (GGA-PBE, Alexandria) gives the theoretical powder X-ray diffraction pattern in this record (a wavelength of 1.5418 Å).

Most intense lines, 2θ = 10–90°, in order of rising 2θ:
d/Å, 2θ/deg, intensity
3.135, 28.5, 49.1
3.108, 28.7, 70.7
3.040, 29.4, 100.0
2.938, 30.4, 29.1
2.891, 30.9, 51.3
2.818, 31.7, 74.3
2.773, 32.3, 35.4
2.708, 33.1, 56.2
2.183, 41.4, 25.6
1.565, 59.0, 29.6

Structural model:
```
La3Pr5Dy4
1.0
8.265 -3.040 0.000
8.265 3.040 0.000
-4.221 0.000 8.442
La Pr Dy
3 5 4
Direct
0.000 0.000 0.000 La
0.295 0.295 0.782 La
0.705 0.705 0.218 La
0.077 0.077 0.700 Pr
0.174 0.174 0.393 Pr
0.500 0.500 0.000 Pr
0.826 0.826 0.607 Pr
0.923 0.923 0.300 Pr
0.291 0.291 0.131 Dy
0.421 0.421 0.563 Dy
0.579 0.579 0.437 Dy
0.709 0.709 0.869 Dy
```

---

For La2PrDy12, a DFT-relaxed cell (GGA-PBE, Alexandria) gives the theoretical powder X-ray diffraction pattern in this record (a wavelength of 1.5418 Å).

Most intense lines, 2θ = 10–90°, in order of rising 2θ:
d/Å, 2θ/deg, intensity
3.087, 28.9, 26.4
3.026, 29.5, 65.8
2.928, 30.5, 97.0
2.846, 31.4, 100.0
2.833, 31.6, 29.7
2.740, 32.7, 70.7
2.714, 33.0, 60.1
2.441, 36.8, 67.7
1.588, 58.1, 28.9
1.506, 61.6, 29.4

Structural model:
```
La2PrDy12
1.0
3.550 -5.692 0.000
3.550 5.692 0.000
0.000 0.000 25.005
La Pr Dy
4 2 24
Direct
0.250 0.750 0.230 La
0.250 0.750 0.770 La
0.750 0.250 0.230 La
0.750 0.250 0.770 La
0.250 0.750 0.500 Pr
0.750 0.250 0.500 Pr
0.000 0.000 0.062 Dy
0.000 0.000 0.420 Dy
0.000 0.000 0.580 Dy
0.000 0.000 0.938 Dy
0.000 0.500 0.084 Dy
0.000 0.500 0.373 Dy
0.000 0.500 0.627 Dy
0.000 0.500 0.916 Dy
0.250 0.250 0.172 Dy
0.250 0.250 0.300 Dy
0.250 0.250 0.700 Dy
0.250 0.250 0.828 Dy
0.500 0.000 0.084 Dy
0.500 0.000 0.373 Dy
0.500 0.000 0.627 Dy
0.500 0.000 0.916 Dy
0.500 0.500 0.062 Dy
0.500 0.500 0.420 Dy
0.500 0.500 0.580 Dy
0.500 0.500 0.938 Dy
0.750 0.750 0.172 Dy
0.750 0.750 0.300 Dy
0.750 0.750 0.700 Dy
0.750 0.750 0.828 Dy
```

---

For La3Pr4Dy, a DFT-relaxed cell (GGA-PBE, Alexandria) gives the theoretical powder X-ray diffraction pattern in this record (a wavelength of 1.5418 Å).

Most intense lines, 2θ = 10–90°, in order of rising 2θ:
d/Å, 2θ/deg, intensity
3.020, 29.6, 100.0
2.623, 34.2, 17.0
2.612, 34.3, 33.7
1.851, 49.2, 30.4
1.581, 58.4, 14.6
1.576, 58.6, 28.9
1.511, 61.3, 6.3
1.509, 61.4, 6.2
1.201, 79.9, 14.7
1.169, 82.5, 8.1

Structural model:
```
La3Pr4Dy
1.0
10.492 0.000 0.000
0.000 7.380 0.000
0.000 0.000 7.397
La Pr Dy
6 8 2
Direct
0.000 0.249 0.000 La
0.249 0.500 0.750 La
0.251 0.500 0.250 La
0.500 0.751 0.500 La
0.749 0.500 0.250 La
0.751 0.500 0.750 La
0.000 0.249 0.499 Pr
0.000 0.750 0.499 Pr
0.250 0.000 0.250 Pr
0.250 0.000 0.750 Pr
0.500 0.250 0.999 Pr
0.500 0.751 0.999 Pr
0.750 0.000 0.250 Pr
0.750 0.000 0.750 Pr
0.000 0.751 0.000 Dy
0.500 0.249 0.500 Dy
```

---

For LaPr2Dy8, a DFT-relaxed cell (GGA-PBE, Alexandria) gives the theoretical powder X-ray diffraction pattern in this record (a wavelength of 1.5418 Å).

Most intense lines, 2θ = 10–90°, in order of rising 2θ:
d/Å, 2θ/deg, intensity
3.368, 26.5, 19.5
3.150, 28.3, 30.8
2.977, 30.0, 78.6
2.949, 30.3, 31.6
2.902, 30.8, 41.6
2.846, 31.4, 33.8
2.836, 31.5, 100.0
2.783, 32.2, 68.9
2.771, 32.3, 19.6
1.542, 60.0, 20.1

Structural model:
```
LaPr2Dy8
1.0
4.546 -8.085 0.000
4.546 8.085 0.000
-3.194 0.000 5.027
La Pr Dy
1 2 8
Direct
0.000 0.000 0.000 La
0.305 0.695 0.500 Pr
0.695 0.305 0.500 Pr
0.099 0.331 0.673 Dy
0.210 0.790 0.000 Dy
0.331 0.099 0.673 Dy
0.428 0.428 0.206 Dy
0.572 0.572 0.794 Dy
0.669 0.901 0.327 Dy
0.790 0.210 0.000 Dy
0.901 0.669 0.327 Dy
```